Record 1
This entry pairs a crystal structure of Pr4SmHo with its calculated powder diffraction line list. Radiation: Cu Kα X-rays. Structure: the GGA-PBE geometry in Alexandria.
Lines closer than 0.1° are merged.

Most intense lines, 2θ = 10–90°, low angle first:
d (Å), Rel. int.
2.999, 100
2.599, 34
2.593, 17
1.836, 36
1.567, 29
1.564, 14
1.499, 12
1.192, 12

Structure:
Lattice parameters (Å, degrees): 8.203 8.203 5.193 90.00 90.00 143.02
Element x y z (fractional)
Pr 0.165 0.835 0.000
Pr 0.335 0.665 0.500
Pr 0.665 0.335 0.500
Pr 0.835 0.165 0.000
Sm 0.000 0.000 0.500
Ho 0.500 0.500 0.000


Record 2
This entry pairs a crystal structure of K2NpGaS4 with its calculated powder diffraction line list. Radiation: Cu Kα X-rays. Structure: the GGA-PBE geometry in Alexandria.
Lines closer than 0.1° are merged.

Most intense lines, 2θ = 10–90°, low angle first:
d (Å), Rel. int.
7.013, 96
5.944, 18
3.537, 27
3.507, 28
3.373, 24
2.977, 100
2.319, 17
2.104, 44

Structure:
Lattice parameters (Å, degrees): 8.424 8.424 8.424 121.81 117.94 90.25
Element x y z (fractional)
K 0.000 0.000 0.000
K 0.500 0.000 0.000
K 0.500 0.000 0.500
K 0.500 0.500 0.500
Np 0.000 0.000 0.500
Np 0.000 0.500 0.000
Ga 0.000 0.500 0.500
Ga 0.500 0.500 0.000
S 0.196 0.741 0.455
S 0.214 0.234 0.520
S 0.214 0.694 0.980
S 0.215 0.259 0.955
S 0.785 0.741 0.045
S 0.786 0.306 0.020
S 0.786 0.766 0.480
S 0.804 0.259 0.545


What did the first record say?
This entry pairs a crystal structure of Pr4SmHo with its calculated powder diffraction line list. Radiation: Cu Kα X-rays. Structure: the GGA-PBE geometry in Alexandria.
Lines closer than 0.1° are merged.

Most intense lines, 2θ = 10–90°, low angle first:
d (Å), Rel. int.
2.999, 100
2.599, 34
2.593, 17
1.836, 36
1.567, 29
1.564, 14
1.499, 12
1.192, 12

Structure:
Lattice parameters (Å, degrees): 8.203 8.203 5.193 90.00 90.00 143.02
Element x y z (fractional)
Pr 0.165 0.835 0.000
Pr 0.335 0.665 0.500
Pr 0.665 0.335 0.500
Pr 0.835 0.165 0.000
Sm 0.000 0.000 0.500
Ho 0.500 0.500 0.000